Diffraction record for Pm3CdPb3. The powder diffraction line list is computed, not measured: it uses the PBE geometry in Alexandria and Cu Kα.

Most intense lines, 2θ from 15° to 90°, in order of rising 2θ:
d [Å]  intensity
3.091  56.0
3.046  22.6
2.996  100.0
2.989  61.1
2.637  45.3
2.550  89.4
2.467  32.2
2.352  58.6
1.849  33.2
1.702  21.1

Structure:
```
Pm3CdPb3
1.0
6.003 -2.352 0.000
6.003 2.352 0.000
-4.732 0.000 14.810
Pm Cd Pb
6 2 6
Direct
0.016 0.016 0.377 Pm
0.100 0.100 0.923 Pm
0.226 0.226 0.225 Pm
0.774 0.774 0.775 Pm
0.900 0.900 0.077 Pm
0.984 0.984 0.623 Pm
0.276 0.276 0.627 Cd
0.724 0.724 0.373 Cd
0.360 0.360 0.457 Pb
0.372 0.372 0.925 Pb
0.496 0.496 0.225 Pb
0.504 0.504 0.775 Pb
0.628 0.628 0.075 Pb
0.640 0.640 0.543 Pb
```



Diffraction record for Pm8Cd2Pb. The powder diffraction line list is computed, not measured: it uses the PBE geometry in Alexandria and Cu Kα.

Most intense lines, 2θ from 15° to 90°, in order of rising 2θ:
d [Å]  intensity
2.866  45.4
2.836  97.8
2.805  100.0
2.724  51.6
2.015  20.1
1.974  30.7
1.637  20.9
1.620  17.6
1.593  17.3
1.588  18.0

Structure:
```
Pm8Cd2Pb
1.0
8.398 -2.723 0.000
8.398 2.723 0.000
-4.497 0.000 7.567
Pm Cd Pb
8 2 1
Direct
0.069 0.069 0.219 Pm
0.141 0.141 0.691 Pm
0.318 0.318 0.548 Pm
0.407 0.407 0.046 Pm
0.593 0.593 0.954 Pm
0.682 0.682 0.452 Pm
0.859 0.859 0.309 Pm
0.931 0.931 0.781 Pm
0.223 0.223 0.111 Cd
0.777 0.777 0.889 Cd
0.500 0.500 0.500 Pb
```



Diffraction record for Pm3CdPb. The powder diffraction line list is computed, not measured: it uses the PBE geometry in Alexandria and Cu Kα.

Most intense lines, 2θ from 15° to 90°, in order of rising 2θ:
d [Å]  intensity
4.562  12.7
2.754  83.9
2.716  100.0
2.047  11.6
1.934  30.1
1.597  7.9
1.575  31.2
1.568  19.0
1.358  11.7
1.219  8.9

Structure:
```
Pm3CdPb
1.0
4.702 -2.718 0.000
4.702 2.718 0.000
-3.121 0.000 12.454
Pm Cd Pb
6 2 2
Direct
0.088 0.088 0.263 Pm
0.190 0.190 0.573 Pm
0.367 0.367 0.101 Pm
0.633 0.633 0.899 Pm
0.810 0.810 0.427 Pm
0.912 0.912 0.737 Pm
0.460 0.460 0.381 Cd
0.540 0.540 0.619 Cd
0.281 0.281 0.843 Pb
0.719 0.719 0.157 Pb
```